Record 1
Starting from the PBE geometry in the Materials Project, the X-ray diffraction stick pattern of Na2ZrSi3O11 was computed for CuKα.

Cell lengths 7.462, 12.867, 10.415 Å; angles 90.00, 90.17, 90.00 degrees
Space group C2/c (No. 15)
Asymmetric unit:
Na (0.043, 0.180, 0.025)
Zr (0.000, 0.500, 0.000)
Si (0.000, 0.304, 0.750)
Si (0.205, 0.098, 0.751)
O (0.000, 0.000, 0.000)
O (0.000, 0.048, 0.750)
O (0.001, 0.366, 0.884)
O (0.179, 0.227, 0.757)
O (0.195, 0.434, 0.380)
O (0.200, 0.431, 0.113)
O (0.250, 0.250, 0.500)

The 12 most intense peaks (2θ = 10–90°), low angle first:
- 2θ 13.73, intensity 100.0, hkl 0 2 0
- 2θ 16.17, intensity 96.5, hkl 1 1 1
- 2θ 21.94, intensity 81.5, hkl 0 2 2
- 2θ 23.90, intensity 27.6, hkl 2 0 0
- 2θ 28.97, intensity 50.3, hkl 2 2 1
- 2θ 29.05, intensity 25.9, hkl 0 4 1
- 2θ 29.47, intensity 76.4, hkl 2 0 -2
- 2θ 29.54, intensity 33.3, hkl 1 3 2
- 2θ 32.64, intensity 26.6, hkl 2 2 2
- 2θ 34.44, intensity 23.2, hkl 0 0 4
- 2θ 45.72, intensity 28.6, hkl 0 6 2
- 2θ 48.99, intensity 29.1, hkl 2 6 0

***

Record 2
Starting from the PBE geometry in the Materials Project, the X-ray diffraction stick pattern of Sr2EuTaCu2O8 was computed for CuKα.

Cell lengths 11.797, 5.569, 5.550 Å; angles 90.00, 90.00, 90.00 degrees
Space group Amm2 (No. 38)
Asymmetric unit:
Sr (0.201, 0.000, 0.000)
Eu (0.500, 0.000, 0.001)
Ta (0.000, 0.000, 0.519)
Cu (0.356, 0.000, 0.501)
O (0.000, 0.237, 0.789)
O (0.168, 0.000, 0.515)
O (0.368, 0.250, 0.251)

The 12 most intense peaks (2θ = 10–90°), low angle first:
- 2θ 15.02, intensity 10.1, hkl 2 0 0
- 2θ 23.86, intensity 22.8, hkl 1 1 1
- 2θ 32.19, intensity 100.0, hkl 0 2 0
- 2θ 32.26, intensity 20.7, hkl 0 0 2
- 2θ 38.15, intensity 8.7, hkl 5 0 0
- 2θ 44.80, intensity 12.0, hkl 4 2 0
- 2θ 46.18, intensity 33.0, hkl 0 2 2
- 2θ 57.37, intensity 25.2, hkl 3 3 1
- 2θ 57.48, intensity 14.9, hkl 3 1 3
- 2θ 59.70, intensity 5.4, hkl 7 1 1
- 2θ 67.36, intensity 8.1, hkl 6 2 2
- 2θ 76.62, intensity 11.6, hkl 0 4 2

***

Record 3
Starting from the PBE geometry in the Materials Project, the X-ray diffraction stick pattern of SrGa2Si2O8 was computed for CuKα.

Cell lengths 13.406, 13.330, 8.595 Å; angles 90.00, 99.87, 90.00 degrees
Space group C2/c (No. 15)
Asymmetric unit:
Sr (0.183, 0.245, 0.198)
Ga (0.080, 0.373, 0.526)
Ga (0.130, 0.071, 0.881)
Si (0.079, 0.140, 0.509)
Si (0.144, 0.421, 0.903)
O (0.044, 0.134, 0.998)
O (0.059, 0.372, 0.997)
O (0.108, 0.250, 0.441)
O (0.119, 0.065, 0.381)
O (0.134, 0.458, 0.394)
O (0.141, 0.127, 0.689)
O (0.149, 0.372, 0.730)
O (0.250, 0.125, 0.993)

The 12 most intense peaks (2θ = 10–90°), low angle first:
- 2θ 23.07, intensity 48.6, hkl 1 3 -1
- 2θ 24.11, intensity 26.9, hkl 1 3 1
- 2θ 25.25, intensity 54.3, hkl 3 1 1
- 2θ 26.59, intensity 100.0, hkl 2 2 -2
- 2θ 26.89, intensity 55.4, hkl 2 0 2
- 2θ 27.00, intensity 66.5, hkl 4 0 0
- 2θ 29.21, intensity 57.9, hkl 3 3 -1
- 2θ 30.05, intensity 35.9, hkl 2 4 0
- 2θ 31.68, intensity 36.1, hkl 3 3 1
- 2θ 34.25, intensity 87.9, hkl 0 4 2
- 2θ 49.86, intensity 39.6, hkl 6 0 2
- 2θ 60.47, intensity 25.8, hkl 2 8 -2